(1)
Diffraction record for Pm8Sm2Ho3. The X-ray diffraction stick pattern is theoretical, not measured: it uses DFT lattice parameters and positions (PBE) and Cu Kα.

Structural model:
```
Pm8Sm2Ho3
1.0
6.2606 0.0000 0.0000
1.0464 6.1785 0.0000
2.0925 -0.3411 11.2439
Pm Sm Ho
8 2 3
Direct
0.0391 0.0793 0.3485
0.1927 0.3827 0.7277
0.3461 0.6922 0.1173
0.4227 0.8448 0.8051
0.5773 0.1552 0.1949
0.6539 0.3078 0.8827
0.8073 0.6173 0.2723
0.9609 0.9207 0.6515
0.1151 0.2308 0.0391
0.8849 0.7692 0.9609
0.2703 0.5391 0.4246
0.5000 0.0000 0.5000
0.7297 0.4609 0.5754
```

Top 12 peaks for 10° ≤ 2θ ≤ 90°, in order of rising 2θ:
| 2θ/deg | intensity |
| --- | --- |
| 30.3 | 99 |
| 30.3 | 99 |
| 35.1 | 100 |
| 50.5 | 71 |
| 60.0 | 71 |
| 60.0 | 14 |
| 62.9 | 24 |
| 74.2 | 8 |
| 82.1 | 29 |
| 82.2 | 6 |
| 84.7 | 16 |
| 84.8 | 16 |


(2)
Diffraction record for MnCuWCl2. The X-ray diffraction stick pattern is theoretical, not measured: it uses DFT lattice parameters and positions (PBE) and Cu Kα.

Structural model:
```
MnCuWCl2
1.0
4.2295 0.0000 0.0000
0.0000 4.2295 0.0000
0.0000 0.0000 5.1353
Mn Cu W Cl
1 1 1 2
Direct
0.0000 0.0000 0.0000
0.0000 0.0000 0.5000
0.5000 0.5000 0.0000
0.0000 0.5000 0.5000
0.5000 0.0000 0.5000
```

Top 12 peaks for 10° ≤ 2θ ≤ 90°, in order of rising 2θ:
| 2θ/deg | intensity |
| --- | --- |
| 17.3 | 16 |
| 27.3 | 100 |
| 29.9 | 58 |
| 34.7 | 82 |
| 34.9 | 50 |
| 42.8 | 56 |
| 46.6 | 36 |
| 51.5 | 36 |
| 56.4 | 48 |
| 62.1 | 18 |
| 73.1 | 18 |
| 73.3 | 21 |


(3)
Diffraction record for PrDy2Hg5. The X-ray diffraction stick pattern is theoretical, not measured: it uses DFT lattice parameters and positions (PBE) and Cu Kα.

Structural model:
```
PrDy2Hg5
1.0
-2.6341 2.6341 7.3789
2.6341 -2.6341 7.3789
2.6341 2.6341 -7.3789
Pr Dy Hg
1 2 5
Direct
0.0000 0.0000 0.0000
0.2675 0.2675 0.0000
0.7325 0.7325 0.0000
0.1291 0.6291 0.5000
0.3709 0.8709 0.5000
0.5000 0.5000 0.0000
0.6291 0.1291 0.5000
0.8709 0.3709 0.5000
```

Top 12 peaks for 10° ≤ 2θ ≤ 90°, in order of rising 2θ:
| 2θ/deg | intensity |
| --- | --- |
| 17.9 | 2 |
| 34.0 | 53 |
| 34.2 | 100 |
| 34.8 | 2 |
| 48.9 | 19 |
| 49.4 | 10 |
| 61.0 | 38 |
| 61.4 | 17 |
| 71.7 | 6 |
| 72.1 | 11 |
| 81.8 | 18 |
| 82.6 | 6 |


(4)
Diffraction record for Li3AgPd2. The X-ray diffraction stick pattern is theoretical, not measured: it uses DFT lattice parameters and positions (PBE) and Cu Kα.

Structural model:
```
Li3AgPd2
1.0
4.3458 0.0000 0.0000
0.0000 5.9536 0.0000
-1.8358 0.0000 6.5288
Li Ag Pd
6 2 4
Direct
0.0000 0.2396 0.0000
0.0000 0.7604 0.0000
0.3351 0.2374 0.6737
0.3351 0.7626 0.6737
0.6649 0.2374 0.3263
0.6649 0.7626 0.3263
0.1668 0.5000 0.3311
0.8332 0.5000 0.6689
0.1698 0.0000 0.3368
0.5000 0.0000 0.0000
0.5000 0.5000 0.0000
0.8302 0.0000 0.6632
```

Top 12 peaks for 10° ≤ 2θ ≤ 90°, in order of rising 2θ:
| 2θ/deg | intensity |
| --- | --- |
| 28.3 | 80 |
| 29.8 | 70 |
| 30.0 | 69 |
| 41.5 | 34 |
| 41.7 | 100 |
| 42.8 | 62 |
| 52.1 | 28 |
| 52.2 | 28 |
| 58.5 | 12 |
| 67.1 | 19 |
| 69.9 | 11 |
| 77.8 | 20 |


(5)
Diffraction record for Th2AgSn. The X-ray diffraction stick pattern is theoretical, not measured: it uses DFT lattice parameters and positions (PBE) and Cu Kα.

Structural model:
```
Th2AgSn
1.0
3.4760 0.0000 0.0000
0.0000 3.4760 0.0000
0.0000 0.0000 8.9540
Th Ag Sn
2 1 1
Direct
0.0000 0.0000 0.2402
0.0000 0.0000 0.7598
0.5000 0.5000 0.0000
0.5000 0.5000 0.5000
```

Top 12 peaks for 10° ≤ 2θ ≤ 90°, in order of rising 2θ:
| 2θ/deg | intensity |
| --- | --- |
| 19.8 | 8 |
| 25.6 | 9 |
| 32.6 | 100 |
| 36.6 | 37 |
| 40.3 | 14 |
| 41.9 | 5 |
| 52.7 | 13 |
| 55.5 | 22 |
| 63.3 | 30 |
| 68.4 | 23 |
| 86.8 | 7 |
| 89.1 | 6 |


(6)
Diffraction record for NbV3C3. The X-ray diffraction stick pattern is theoretical, not measured: it uses DFT lattice parameters and positions (PBE) and Cu Kα.

Structural model:
```
NbV3C3
1.0
2.9348 1.6944 5.4059
-2.9348 1.6944 5.4059
0.0000 -3.3888 5.4059
Nb V C
2 6 6
Direct
0.1708 0.1708 0.1708
0.8292 0.8292 0.8292
0.1127 0.3702 0.6687
0.3313 0.8873 0.6298
0.3702 0.6687 0.1127
0.6298 0.3313 0.8873
0.6687 0.1127 0.3702
0.8873 0.6298 0.3313
0.0331 0.7860 0.4203
0.2140 0.5797 0.9669
0.4203 0.0331 0.7860
0.5797 0.9669 0.2140
0.7860 0.4203 0.0331
0.9669 0.2140 0.5797
```

Top 12 peaks for 10° ≤ 2θ ≤ 90°, in order of rising 2θ:
| 2θ/deg | intensity |
| --- | --- |
| 18.3 | 9 |
| 20.6 | 19 |
| 28.2 | 18 |
| 32.8 | 19 |
| 34.8 | 100 |
| 45.6 | 55 |
| 47.7 | 16 |
| 48.7 | 14 |
| 50.7 | 14 |
| 54.1 | 27 |
| 66.0 | 13 |
| 77.3 | 14 |


(7)
Diffraction record for ReOsPtRh. The X-ray diffraction stick pattern is theoretical, not measured: it uses DFT lattice parameters and positions (PBE) and Cu Kα.

Structural model:
```
ReOsPtRh
1.0
2.6795 0.0000 0.0000
0.0000 4.2429 0.0000
-1.3293 0.0000 5.2045
Re Os Pt Rh
1 1 1 1
Direct
0.0000 0.0000 0.0000
0.6447 0.5000 0.2853
0.2542 0.0000 0.5061
0.3962 0.5000 0.7903
```

Top 12 peaks for 10° ≤ 2θ ≤ 90°, in order of rising 2θ:
| 2θ/deg | intensity |
| --- | --- |
| 40.7 | 100 |
| 40.8 | 34 |
| 42.6 | 57 |
| 48.0 | 8 |
| 55.9 | 9 |
| 56.0 | 9 |
| 61.9 | 18 |
| 72.7 | 13 |
| 76.7 | 25 |
| 84.4 | 8 |
| 84.6 | 8 |
| 85.8 | 8 |


(8)
Diffraction record for BaMo2W. The X-ray diffraction stick pattern is theoretical, not measured: it uses DFT lattice parameters and positions (PBE) and Cu Kα.

Structural model:
```
BaMo2W
1.0
3.0467 0.0000 0.0000
0.0000 4.1876 0.0000
-1.4203 0.0000 7.4096
Ba Mo W
1 2 1
Direct
0.0000 0.0000 0.0000
0.5906 0.0000 0.4973
0.8654 0.5000 0.3482
0.2977 0.5000 0.6489
```

Top 12 peaks for 10° ≤ 2θ ≤ 90°, in order of rising 2θ:
| 2θ/deg | intensity |
| --- | --- |
| 11.9 | 73 |
| 24.4 | 58 |
| 32.3 | 71 |
| 34.4 | 49 |
| 34.8 | 21 |
| 36.4 | 22 |
| 37.1 | 100 |
| 43.2 | 38 |
| 47.7 | 20 |
| 54.1 | 31 |
| 56.3 | 23 |
| 81.0 | 23 |